(1)
Simulated X-ray powder pattern
Compound: PuNpS4
Radiation: Cu Kα X-rays
Structure: a crystal structure in Alexandria, relaxed with PBE

Structural model:
```
data_PuNpS4
_chemical_formula_sum 'Pu2 Np2 S8'
_cell_length_a 8.787
_cell_length_b 8.871
_cell_length_c 4.127
_cell_angle_alpha 90.00
_cell_angle_beta 90.00
_cell_angle_gamma 90.00
_space_group_name_H-M_alt 'C m m m'
_space_group_IT_number 65
_space_group_name_Hall '-C 2 2'
loop_
_atom_site_label
_atom_site_fract_x
_atom_site_fract_y
_atom_site_fract_z
Pu1 0.000 0.000 0.000
Np1 0.000 0.500 0.500
S1 0.000 0.312 0.000
S2 0.196 0.000 0.500
```

Peak list (10 most intense, 10° ≤ 2θ ≤ 80°, by intensity)
d = 3.443 Å, I 100, hkl 1 1 1; d = 4.436 Å, I 63, hkl 0 2 0; d = 4.393 Å, I 61, hkl 2 0 0; d = 2.319 Å, I 52, hkl 1 3 1; d = 2.306 Å, I 50, hkl 3 1 1; d = 1.858 Å, I 35, hkl 3 3 1; d = 3.121 Å, I 30, hkl 2 2 0; d = 1.870 Å, I 25, hkl 0 2 2; d = 1.424 Å, I 18, hkl 3 5 1; d = 2.197 Å, I 13, hkl 4 0 0

(2)
Simulated X-ray powder pattern
Compound: PuZrNp2S4
Radiation: Cu Kα X-rays
Structure: a crystal structure in Alexandria, relaxed with PBE

Structural model:
```
data_PuZrNp2S4
_chemical_formula_sum 'Pu1 Zr1 Np2 S4'
_cell_length_a 6.576
_cell_length_b 3.841
_cell_length_c 6.757
_cell_angle_alpha 90.00
_cell_angle_beta 109.20
_cell_angle_gamma 90.00
_space_group_name_H-M_alt 'P 1 2/m 1'
_space_group_IT_number 10
loop_
_space_group_symop_operation_xyz
'x,y,z'
'-x,-y,-z'
'-x,y,-z'
'x,-y,z'
loop_
_atom_site_label
_atom_site_fract_x
_atom_site_fract_y
_atom_site_fract_z
Pu1 0.000 0.000 0.000
Zr1 0.000 0.500 0.500
Np1 0.500 0.000 0.500
Np2 0.500 0.500 0.000
S1 0.242 0.000 0.742
S2 0.246 0.500 0.255
```

Peak list (10 most intense, 10° ≤ 2θ ≤ 80°, by intensity)
d = 2.721 Å, I 100, hkl 1 1 1; d = 3.136 Å, I 48, hkl 1 1 -1; d = 3.191 Å, I 25, hkl 0 0 2; d = 1.943 Å, I 25, hkl 1 1 -3; d = 3.105 Å, I 24, hkl 2 0 0; d = 1.904 Å, I 24, hkl 3 1 -1; d = 1.633 Å, I 16, hkl 3 1 1; d = 1.568 Å, I 13, hkl 2 2 -2; d = 1.657 Å, I 12, hkl 1 1 3; d = 1.930 Å, I 12, hkl 2 0 2

(3)
Simulated X-ray powder pattern
Compound: Tb2PuNpSb4
Radiation: Cu Kα X-rays
Structure: a crystal structure in Alexandria, relaxed with PBE

Structural model:
```
data_Tb2PuNpSb4
_chemical_formula_sum 'Tb2 Pu1 Np1 Sb4'
_cell_length_a 7.633
_cell_length_b 4.405
_cell_length_c 7.633
_cell_angle_alpha 90.00
_cell_angle_beta 109.42
_cell_angle_gamma 90.00
_space_group_name_H-M_alt 'P 1 2/m 1'
_space_group_IT_number 10
loop_
_space_group_symop_operation_xyz
'x,y,z'
'-x,-y,-z'
'-x,y,-z'
'x,-y,z'
loop_
_atom_site_label
_atom_site_fract_x
_atom_site_fract_y
_atom_site_fract_z
Tb1 0.000 0.000 0.000
Tb2 0.000 0.500 0.500
Pu1 0.500 0.000 0.500
Np1 0.500 0.500 0.000
Sb1 0.251 0.000 0.751
Sb2 0.251 0.500 0.249
```

Peak list (10 most intense, 10° ≤ 2θ ≤ 80°, by intensity)
d = 3.116 Å, I 100, hkl 1 1 1; d = 2.203 Å, I 77, hkl 2 0 2; d = 1.394 Å, I 36, hkl 4 2 0; d = 1.799 Å, I 28, hkl 4 0 0; d = 1.272 Å, I 27, hkl 5 1 1; d = 1.558 Å, I 13, hkl 2 2 2; d = 3.598 Å, I 10, hkl 2 0 0; d = 1.879 Å, I 6, hkl 3 1 1; d = 7.199 Å, I 3, hkl 1 0 0; d = 1.430 Å, I 2, hkl 4 0 2

(4)
Simulated X-ray powder pattern
Compound: TmPu2NpSb4
Radiation: Cu Kα X-rays
Structure: a crystal structure in Alexandria, relaxed with PBE

Structural model:
```
data_TmPu2NpSb4
_chemical_formula_sum 'Tm1 Pu2 Np1 Sb4'
_cell_length_a 7.608
_cell_length_b 4.394
_cell_length_c 7.610
_cell_angle_alpha 90.00
_cell_angle_beta 109.37
_cell_angle_gamma 90.00
_space_group_name_H-M_alt 'P 1 2/m 1'
_space_group_IT_number 10
loop_
_space_group_symop_operation_xyz
'x,y,z'
'-x,-y,-z'
'-x,y,-z'
'x,-y,z'
loop_
_atom_site_label
_atom_site_fract_x
_atom_site_fract_y
_atom_site_fract_z
Tm1 0.000 0.000 0.000
Pu1 0.000 0.500 0.500
Pu2 0.500 0.000 0.500
Np1 0.500 0.500 0.000
Sb1 0.248 0.500 0.245
Sb2 0.249 0.000 0.754
```

Peak list (10 most intense, 10° ≤ 2θ ≤ 80°, by intensity)
d = 3.107 Å, I 100, hkl 1 1 1; d = 2.197 Å, I 77, hkl 2 0 2; d = 1.794 Å, I 28, hkl 4 0 0; d = 1.390 Å, I 24, hkl 4 2 0; d = 1.269 Å, I 22, hkl 5 1 1; d = 3.588 Å, I 15, hkl 0 0 2; d = 1.554 Å, I 13, hkl 2 2 2; d = 1.389 Å, I 12, hkl 5 1 -3; d = 1.874 Å, I 8, hkl 2 0 -4; d = 1.268 Å, I 4, hkl 4 2 -4

(5)
Simulated X-ray powder pattern
Compound: PuNp2USb4
Radiation: Cu Kα X-rays
Structure: a crystal structure in Alexandria, relaxed with PBE

Structural model:
```
data_PuNp2USb4
_chemical_formula_sum 'Pu1 Np2 U1 Sb4'
_cell_length_a 7.509
_cell_length_b 4.336
_cell_length_c 7.796
_cell_angle_alpha 90.00
_cell_angle_beta 108.70
_cell_angle_gamma 90.00
_space_group_name_H-M_alt 'P 1 2/m 1'
_space_group_IT_number 10
loop_
_space_group_symop_operation_xyz
'x,y,z'
'-x,-y,-z'
'-x,y,-z'
'x,-y,z'
loop_
_atom_site_label
_atom_site_fract_x
_atom_site_fract_y
_atom_site_fract_z
Pu1 0.000 0.000 0.000
Np1 0.500 0.000 0.500
Np2 0.500 0.500 0.000
U1 0.000 0.500 0.500
Sb1 0.249 0.000 0.749
Sb2 0.251 0.500 0.251
```

Peak list (10 most intense, 10° ≤ 2θ ≤ 80°, by intensity)
d = 3.108 Å, I 100, hkl 1 1 1; d = 2.229 Å, I 40, hkl 2 0 2; d = 2.168 Å, I 37, hkl 0 2 0; d = 1.778 Å, I 20, hkl 4 0 0; d = 1.405 Å, I 19, hkl 3 1 3; d = 1.375 Å, I 18, hkl 4 2 0; d = 1.263 Å, I 13, hkl 5 1 1; d = 1.554 Å, I 13, hkl 2 2 2; d = 3.556 Å, I 13, hkl 2 0 0; d = 1.846 Å, I 8, hkl 0 0 4

(6)
Simulated X-ray powder pattern
Compound: PuNpSe2
Radiation: Cu Kα X-rays
Structure: a crystal structure in Alexandria, relaxed with PBE

Structural model:
```
data_PuNpSe2
_chemical_formula_sum 'Pu1 Np1 Se2'
_cell_length_a 5.044
_cell_length_b 5.044
_cell_length_c 3.564
_cell_angle_alpha 90.00
_cell_angle_beta 90.00
_cell_angle_gamma 90.00
_space_group_name_H-M_alt 'P 4/m m m'
_space_group_IT_number 123
_space_group_name_Hall '-P 4 2'
loop_
_atom_site_label
_atom_site_fract_x
_atom_site_fract_y
_atom_site_fract_z
Pu1 0.000 0.000 0.000
Np1 0.500 0.500 0.000
Se1 0.000 0.500 0.500
```

Peak list (7 most intense, 10° ≤ 2θ ≤ 80°, by intensity)
d = 2.521 Å, I 100, hkl 2 0 0; d = 1.456 Å, I 37, hkl 3 1 1; d = 3.566 Å, I 29, hkl 1 1 0; d = 1.783 Å, I 18, hkl 2 2 0; d = 1.595 Å, I 13, hkl 3 1 0; d = 1.261 Å, I 12, hkl 4 0 0; d = 2.059 Å, I 9, hkl 2 0 1

(7)
Simulated X-ray powder pattern
Compound: PuNp2Se6
Radiation: Cu Kα X-rays
Structure: a crystal structure in Alexandria, relaxed with PBE

Structural model:
```
data_PuNp2Se6
_chemical_formula_sum 'Pu2 Np4 Se12'
_cell_length_a 5.203
_cell_length_b 5.203
_cell_length_c 20.932
_cell_angle_alpha 90.00
_cell_angle_beta 90.00
_cell_angle_gamma 90.00
_space_group_name_H-M_alt 'I -4 2 m'
_space_group_IT_number 121
_space_group_name_Hall 'I -4 2'
loop_
_atom_site_label
_atom_site_fract_x
_atom_site_fract_y
_atom_site_fract_z
Pu1 0.000 0.000 0.000
Np1 0.000 0.000 0.311
Se1 0.000 0.500 0.250
Se2 0.233 0.233 0.590
```

Peak list (10 most intense, 10° ≤ 2θ ≤ 80°, by intensity)
d = 4.171 Å, I 100, hkl 1 0 3; d = 2.530 Å, I 42, hkl 1 1 6; d = 2.207 Å, I 38, hkl 2 1 3; d = 1.838 Å, I 26, hkl 2 2 0; d = 3.679 Å, I 24, hkl 1 1 0; d = 2.330 Å, I 19, hkl 2 0 4; d = 2.086 Å, I 17, hkl 2 0 6; d = 1.819 Å, I 15, hkl 1 1 10; d = 2.593 Å, I 15, hkl 1 0 7; d = 1.488 Å, I 13, hkl 3 1 6

(8)
Simulated X-ray powder pattern
Compound: Pu2NpSi
Radiation: Cu Kα X-rays
Structure: a crystal structure in Alexandria, relaxed with PBE

Structural model:
```
data_Pu2NpSi
_chemical_formula_sum 'Pu4 Np2 Si2'
_cell_length_a 3.567
_cell_length_b 6.572
_cell_length_c 6.899
_cell_angle_alpha 90.00
_cell_angle_beta 90.06
_cell_angle_gamma 90.00
_space_group_name_H-M_alt 'P 1 21 1'
_space_group_IT_number 4
loop_
_space_group_symop_operation_xyz
'x,y,z'
'-x,y+1/2,-z'
loop_
_atom_site_label
_atom_site_fract_x
_atom_site_fract_y
_atom_site_fract_z
Pu1 0.249 0.000 0.479
Pu2 0.250 0.944 0.096
Np1 0.250 0.211 0.825
Si1 0.250 0.364 0.216
```

Peak list (10 most intense, 10° ≤ 2θ ≤ 80°, by intensity)
d = 3.135 Å, I 100, hkl 1 1 0; d = 4.758 Å, I 58, hkl 0 1 1; d = 2.281 Å, I 45, hkl 1 2 1; d = 2.320 Å, I 39, hkl 1 1 -2; d = 2.379 Å, I 32, hkl 0 2 2; d = 1.979 Å, I 27, hkl 1 2 -2; d = 1.854 Å, I 25, hkl 1 1 -3; d = 3.054 Å, I 24, hkl 0 1 2; d = 1.642 Å, I 23, hkl 0 4 0; d = 2.300 Å, I 22, hkl 0 0 3

(9)
Simulated X-ray powder pattern
Compound: PuNpTc
Radiation: Cu Kα X-rays
Structure: a crystal structure in Alexandria, relaxed with PBE

Structural model:
```
data_PuNpTc
_chemical_formula_sum 'Pu8 Np8 Tc8'
_cell_length_a 5.643
_cell_length_b 13.174
_cell_length_c 5.843
_cell_angle_alpha 90.00
_cell_angle_beta 90.00
_cell_angle_gamma 90.00
_space_group_name_H-M_alt 'C m c e'
_space_group_IT_number 64
_space_group_name_Hall '-C 2ac 2'
loop_
_atom_site_label
_atom_site_fract_x
_atom_site_fract_y
_atom_site_fract_z
Pu1 0.000 0.143 0.240
Np1 0.000 0.181 0.832
Tc1 0.234 0.000 0.500
```

Peak list (10 most intense, 10° ≤ 2θ ≤ 80°, by intensity)
d = 2.029 Å, I 100, hkl 2 0 2; d = 2.593 Å, I 89, hkl 2 2 0; d = 2.821 Å, I 83, hkl 2 0 0; d = 2.143 Å, I 70, hkl 2 4 0; d = 2.186 Å, I 67, hkl 0 4 2; d = 2.196 Å, I 62, hkl 0 6 0; d = 2.671 Å, I 57, hkl 0 2 2; d = 2.981 Å, I 50, hkl 1 3 1; d = 2.546 Å, I 47, hkl 1 1 2; d = 1.490 Å, I 45, hkl 2 6 2

> Number 3 is which compound?

Tb2PuNpSb4

Please write out number 4 again, unchanged.
Simulated X-ray powder pattern
Compound: TmPu2NpSb4
Radiation: Cu Kα X-rays
Structure: a crystal structure in Alexandria, relaxed with PBE

Structural model:
```
data_TmPu2NpSb4
_chemical_formula_sum 'Tm1 Pu2 Np1 Sb4'
_cell_length_a 7.608
_cell_length_b 4.394
_cell_length_c 7.610
_cell_angle_alpha 90.00
_cell_angle_beta 109.37
_cell_angle_gamma 90.00
_space_group_name_H-M_alt 'P 1 2/m 1'
_space_group_IT_number 10
loop_
_space_group_symop_operation_xyz
'x,y,z'
'-x,-y,-z'
'-x,y,-z'
'x,-y,z'
loop_
_atom_site_label
_atom_site_fract_x
_atom_site_fract_y
_atom_site_fract_z
Tm1 0.000 0.000 0.000
Pu1 0.000 0.500 0.500
Pu2 0.500 0.000 0.500
Np1 0.500 0.500 0.000
Sb1 0.248 0.500 0.245
Sb2 0.249 0.000 0.754
```

Peak list (10 most intense, 10° ≤ 2θ ≤ 80°, by intensity)
d = 3.107 Å, I 100, hkl 1 1 1; d = 2.197 Å, I 77, hkl 2 0 2; d = 1.794 Å, I 28, hkl 4 0 0; d = 1.390 Å, I 24, hkl 4 2 0; d = 1.269 Å, I 22, hkl 5 1 1; d = 3.588 Å, I 15, hkl 0 0 2; d = 1.554 Å, I 13, hkl 2 2 2; d = 1.389 Å, I 12, hkl 5 1 -3; d = 1.874 Å, I 8, hkl 2 0 -4; d = 1.268 Å, I 4, hkl 4 2 -4